Starting from the PBE geometry in Alexandria, the X-ray powder pattern of Sc5SnGe2 was calculated for Cu Kα X-rays.
Lines closer than 0.1° are merged.

Largest 10 diffraction maxima, low angle first, 10 to 80 degrees two-theta:
d/Å	intensity
4.022	37.0
2.704	25.2
2.597	100.0
2.400	24.2
2.330	77.2
2.008	26.7
1.876	18.3
1.647	22.3
1.309	18.8
1.302	21.6

Cell and atoms:
```
16
Lattice="-3.6842 3.6842 6.3260 3.6842 -3.6842 6.3260 3.6842 3.6842 -6.3260" Properties=species:S:1:pos:R:3 pbc="T T T"
Sc 0.0000 0.0000 0.0000
Sc 4.8292 1.1450 -1.8104
Sc 1.1450 2.5392 -1.8104
Sc 4.8292 1.1450 1.8104
Sc 1.1450 2.5392 1.8104
Sc 0.0000 0.0000 6.3260
Sc 2.5392 1.1450 4.5156
Sc -1.1450 2.5392 4.5156
Sc 2.5392 1.1450 8.1365
Sc -1.1450 2.5392 8.1365
Sn 0.0000 0.0000 3.1630
Sn 0.0000 0.0000 9.4891
Ge 2.6099 1.0744 0.0000
Ge 2.6099 -1.0744 6.3260
Ge 1.0744 4.7586 0.0000
Ge 1.0744 2.6099 6.3260
```


Starting from the PBE geometry in Alexandria, the X-ray powder pattern of ScTa3Ge was calculated for Cu Kα X-rays.
Lines closer than 0.1° are merged.

Largest 10 diffraction maxima, low angle first, 10 to 80 degrees two-theta:
d/Å	intensity
4.791	49.8
3.388	3.1
2.766	100.0
2.395	85.0
2.143	25.3
1.694	59.2
1.597	12.8
1.445	41.7
1.383	20.1
1.329	5.6

Cell and atoms:
```
5
Lattice="4.7910 0.0000 0.0000 0.0000 4.7910 0.0000 0.0000 0.0000 4.7910" Properties=species:S:1:pos:R:3 pbc="T T T"
Sc 0.0000 0.0000 0.0000
Ta 0.0000 2.3955 2.3955
Ta 2.3955 0.0000 2.3955
Ta 2.3955 2.3955 0.0000
Ge 2.3955 2.3955 2.3955
```


Starting from the PBE geometry in Alexandria, the X-ray powder pattern of Tb3Sc4Ge4 was calculated for Cu Kα X-rays.
Lines closer than 0.1° are merged.

Largest 10 diffraction maxima, low angle first, 10 to 80 degrees two-theta:
d/Å	intensity
4.231	15.9
2.847	100.0
2.607	65.7
2.462	18.2
2.116	12.0
2.064	11.4
1.988	15.8
1.966	14.2
1.547	13.2
1.440	15.1

Cell and atoms:
```
11
Lattice="-1.9882 4.2313 7.5644 1.9882 -4.2313 7.5644 1.9882 4.2313 -7.5644" Properties=species:S:1:pos:R:3 pbc="T T T"
Tb 0.0000 0.0000 0.0000
Tb 1.9882 0.0000 5.9057
Tb 0.0000 4.2313 1.6587
Sc 1.9882 1.6344 -2.6202
Sc 1.9882 1.6344 2.6202
Sc 0.0000 2.5969 4.9442
Sc 0.0000 2.5969 10.1846
Ge 0.0000 0.0000 3.6456
Ge 1.9882 2.3913 0.0000
Ge 0.0000 1.8401 7.5644
Ge 0.0000 0.0000 11.4831
```


Starting from the PBE geometry in Alexandria, the X-ray powder pattern of Tb3ScGe6 was calculated for Cu Kα X-rays.
Lines closer than 0.1° are merged.

Largest 10 diffraction maxima, low angle first, 10 to 80 degrees two-theta:
d/Å	intensity
5.725	17.2
3.150	28.5
2.721	16.3
2.672	100.0
2.474	66.3
2.457	48.3
1.938	18.8
1.877	22.4
1.703	14.2
1.588	13.1

Cell and atoms:
```
20
Lattice="5.7252 3.3054 3.7723 -5.7252 3.3054 3.7723 0.0000 -6.6109 3.7723" Properties=species:S:1:pos:R:3 pbc="T T T"
Tb -3.2536 0.9754 4.7154
Tb -2.4715 -2.3300 6.6016
Tb 0.7821 -3.3054 4.7154
Tb -0.7821 3.3054 6.6016
Tb 2.4715 2.3300 4.7154
Tb 3.2536 -0.9754 6.6016
Sc 0.0000 0.0000 0.0000
Sc 0.0000 0.0000 5.6585
Ge -0.4346 -2.1033 1.7633
Ge -1.6043 1.4280 1.7633
Ge -1.6043 -1.4280 3.8952
Ge 2.0388 0.6753 1.7633
Ge -0.4346 2.1033 3.8952
Ge 2.0388 -0.6753 3.8952
Ge -2.0388 0.6753 7.4218
Ge 0.4346 -2.1033 7.4218
Ge -2.0388 -0.6753 9.5537
Ge 1.6043 1.4280 7.4218
Ge 1.6043 -1.4280 9.5537
Ge 0.4346 2.1033 9.5537
```


Starting from the PBE geometry in Alexandria, the X-ray powder pattern of Sc3Tc2Ge3 was calculated for Cu Kα X-rays.
Lines closer than 0.1° are merged.

Largest 10 diffraction maxima, low angle first, 10 to 80 degrees two-theta:
d/Å	intensity
6.728	69.8
3.127	12.8
2.543	33.2
2.290	68.0
2.243	64.2
2.181	100.0
2.074	21.6
1.759	20.1
1.563	20.7
1.445	14.6

Cell and atoms:
```
16
Lattice="7.7690 0.0000 0.0000 -3.8845 6.7282 0.0000 0.0000 0.0000 5.2699" Properties=species:S:1:pos:R:3 pbc="T T T"
Sc -0.9647 1.6708 1.3175
Sc -2.9198 5.0573 3.9524
Sc 1.9293 0.0000 1.3175
Sc 0.9647 1.6708 3.9524
Sc 5.8397 0.0000 3.9524
Sc 2.9198 5.0573 1.3175
Tc 0.0000 4.4854 0.0000
Tc 0.0000 4.4854 2.6350
Tc 3.8845 2.2427 0.0000
Tc 3.8845 2.2427 2.6350
Ge -1.5404 2.6680 3.9524
Ge -2.3441 4.0602 1.3175
Ge 3.0807 0.0000 3.9524
Ge 1.5404 2.6680 1.3175
Ge 4.6883 0.0000 1.3175
Ge 2.3441 4.0602 3.9524
```


Starting from the PBE geometry in Alexandria, the X-ray powder pattern of Sc5Ge2Te2 was calculated for Cu Kα X-rays.
Lines closer than 0.1° are merged.

Largest 10 diffraction maxima, low angle first, 10 to 80 degrees two-theta:
d/Å	intensity
3.707	44.1
3.536	63.7
3.294	69.8
2.728	50.8
2.621	57.6
2.580	42.1
2.520	63.6
2.435	52.5
2.314	100.0
1.817	65.0

Cell and atoms:
```
18
Lattice="7.1853 -3.7019 0.0000 7.1853 3.7019 0.0000 0.0000 0.0000 7.4235" Properties=species:S:1:pos:R:3 pbc="T T T"
Sc 0.0000 0.0000 0.0000
Sc 5.3982 2.5087 4.9244
Sc 5.3982 1.1932 1.2127
Sc 8.9725 2.5087 4.9244
Sc 8.9725 1.1932 1.2127
Sc 7.1853 0.0000 3.7117
Sc 5.3982 -1.1932 6.2108
Sc 5.3982 -2.5087 2.4991
Sc 8.9725 -1.1932 6.2108
Sc 8.9725 -2.5087 2.4991
Ge 7.1853 2.6642 2.6896
Ge 7.1853 1.0377 6.4014
Ge 7.1853 -1.0377 1.0221
Ge 7.1853 -2.6642 4.7339
Te 2.9493 0.0000 0.0000
Te 4.2360 0.0000 3.7117
Te 10.1346 0.0000 3.7117
Te 11.4214 0.0000 0.0000
```